Calculated X-ray powder pattern of HoSeCl for CuKα, from a structure optimized by DFT (PBE).
Peak positions follow from Bragg's law for the DFT cell and can differ from measured ones.

Atomic structure:
a = 5.545 Å, b = 4.262 Å, c = 7.128 Å
α = 90.00°, β = 108.97°, γ = 90.00°
Element x y z (fractional)
1 Ho 0.165 0.250 0.300
2 Ho 0.835 0.750 0.700
3 Se 0.280 0.750 0.579
4 Se 0.720 0.250 0.421
5 Cl 0.237 0.750 0.064
6 Cl 0.763 0.250 0.936

Most intense lines, 2θ from 15° to 90°, in order of rising 2θ:
2θ 17.73, d = 5.001 Å, intensity 29; 2θ 24.71, d = 3.603 Å, intensity 100; 2θ 32.36, d = 2.766 Å, intensity 28; 2θ 33.89, d = 2.645 Å, intensity 64; 2θ 41.89, d = 2.157 Å, intensity 35; 2θ 42.02, d = 2.150 Å, intensity 30